Simulated powder diffractogram of Pu2CuS3 for Cu Kα, from a DFT-relaxed cell (GGA-PBE, Alexandria).
Neutral-atom scattering factors, no anomalous dispersion.

Most intense lines, 10° ≤ 2θ ≤ 90°, by angle:
(hkl)	2θ (°)	Rel. int.
0 1 1	21.39	40
0 0 4	23.34	37
0 1 3	27.10	70
1 0 3	29.90	77
1 1 0	31.88	100
0 0 6	35.32	26
1 1 4	39.88	55
0 2 0	41.84	30
1 1 6	48.31	31
1 0 7	48.49	24
2 0 0	49.31	23
1 2 3	52.27	34

Crystal structure
```
data_Pu2CuS3
_chemical_formula_sum 'Pu4 Cu2 S6'
_cell_length_a 3.695
_cell_length_b 4.318
_cell_length_c 15.248
_cell_angle_alpha 90.00
_cell_angle_beta 90.00
_cell_angle_gamma 90.00
_space_group_name_H-M_alt 'I m m m'
_space_group_IT_number 71
_space_group_name_Hall '-I 2 2'
loop_
_atom_site_label
_atom_site_type_symbol
_atom_site_fract_x
_atom_site_fract_y
_atom_site_fract_z
Pu1 Pu 0.000 0.000 0.144
Cu1 Cu 0.000 0.000 0.500
S1 S 0.000 0.000 0.326
S2 S 0.000 0.500 0.500
```

Simulated powder diffractogram of SrPu4Cu3S12 for Cu Kα, from a DFT-relaxed cell (GGA-PBE, Alexandria).
Neutral-atom scattering factors, no anomalous dispersion.

Most intense lines, 10° ≤ 2θ ≤ 90°, by angle:
(hkl)	2θ (°)	Rel. int.
2 0 0	18.33	37
2 2 0	26.03	100
2 2 2	32.03	9
4 0 0	37.15	25
4 0 2	41.73	25
4 2 2	45.92	62
4 4 0	53.55	15
6 0 2	60.48	23
6 2 2	63.77	8
6 4 2	73.16	24
8 2 0	82.09	8
6 6 0	85.02	18

Crystal structure
```
data_SrPu4Cu3S12
_chemical_formula_sum 'Sr2 Pu8 Cu6 S24'
_cell_length_a 9.681
_cell_length_b 9.681
_cell_length_c 9.681
_cell_angle_alpha 90.00
_cell_angle_beta 90.00
_cell_angle_gamma 90.00
_space_group_name_H-M_alt 'I m -3'
_space_group_IT_number 204
_space_group_name_Hall '-I 2 2 3'
loop_
_atom_site_label
_atom_site_type_symbol
_atom_site_fract_x
_atom_site_fract_y
_atom_site_fract_z
Sr1 Sr 0.000 0.000 0.000
Pu1 Pu 0.250 0.250 0.250
Cu1 Cu 0.000 0.000 0.500
S1 S 0.000 0.159 0.317
```

Simulated powder diffractogram of PuCu2TeS2 for Cu Kα, from a DFT-relaxed cell (GGA-PBE, Alexandria).
Neutral-atom scattering factors, no anomalous dispersion.

Most intense lines, 10° ≤ 2θ ≤ 90°, by angle:
(hkl)	2θ (°)	Rel. int.
0 2 1	16.52	25
1 1 1	24.46	85
0 4 1	24.57	34
0 0 2	25.77	68
1 3 1	28.67	33
1 5 0	33.23	77
0 6 1	34.17	26
2 0 0	40.80	35
1 5 2	42.51	100
1 1 3	44.67	27
2 0 2	48.89	25
1 5 4	63.98	21

Crystal structure
```
data_PuCu2TeS2
_chemical_formula_sum 'Pu4 Cu8 Te4 S8'
_cell_length_a 4.423
_cell_length_b 17.015
_cell_length_c 6.913
_cell_angle_alpha 90.00
_cell_angle_beta 90.00
_cell_angle_gamma 90.00
_space_group_name_H-M_alt 'C m c m'
_space_group_IT_number 63
_space_group_name_Hall '-C 2c 2'
loop_
_atom_site_label
_atom_site_type_symbol
_atom_site_fract_x
_atom_site_fract_y
_atom_site_fract_z
Pu1 Pu 0.000 0.208 0.250
Cu1 Cu 0.000 0.409 0.250
Cu2 Cu 0.000 0.427 0.750
Te1 Te 0.000 0.003 0.750
S1 S 0.000 0.330 0.513
```

Simulated powder diffractogram of TmPu2CuS5 for Cu Kα, from a DFT-relaxed cell (GGA-PBE, Alexandria).
Neutral-atom scattering factors, no anomalous dispersion.

Most intense lines, 10° ≤ 2θ ≤ 90°, by angle:
(hkl)	2θ (°)	Rel. int.
0 4 0	21.81	37
1 1 0	23.92	36
0 2 3	25.39	82
1 3 0	28.54	36
1 3 1	29.59	28
1 1 3	33.34	100
0 6 1	33.87	26
1 3 3	36.90	30
1 5 2	39.48	46
2 0 0	47.60	23
1 1 6	53.17	21
2 2 3	54.71	22

Crystal structure
```
data_TmPu2CuS5
_chemical_formula_sum 'Tm4 Pu8 Cu4 S20'
_cell_length_a 3.820
_cell_length_b 16.303
_cell_length_c 11.661
_cell_angle_alpha 90.00
_cell_angle_beta 90.00
_cell_angle_gamma 90.00
_space_group_name_H-M_alt 'C m c 21'
_space_group_IT_number 36
loop_
_space_group_symop_operation_xyz
'x,y,z'
'-x,-y,z+1/2'
'-x,y,z'
'x,-y,z+1/2'
'x+1/2,y+1/2,z'
'-x+1/2,-y+1/2,z+1/2'
'-x+1/2,y+1/2,z'
'x+1/2,-y+1/2,z+1/2'
loop_
_atom_site_label
_atom_site_type_symbol
_atom_site_fract_x
_atom_site_fract_y
_atom_site_fract_z
Tm1 Tm 0.000 0.183 0.000
Pu1 Pu 0.000 0.110 0.320
Pu2 Pu 0.000 0.116 0.666
Cu1 Cu 0.000 0.447 0.399
S1 S 0.000 0.016 0.993
S2 S 0.000 0.303 0.661
S3 S 0.000 0.312 0.334
S4 S 0.000 0.346 0.992
S5 S 0.000 0.496 0.724
```

Simulated powder diffractogram of PuCu4Sb4 for Cu Kα, from a DFT-relaxed cell (GGA-PBE, Alexandria).
Neutral-atom scattering factors, no anomalous dispersion.

Most intense lines, 10° ≤ 2θ ≤ 90°, by angle:
(hkl)	2θ (°)	Rel. int.
0 2 0	13.48	100
1 3 1	25.68	93
0 2 2	25.91	43
2 2 0	26.13	42
2 0 2	31.53	52
0 4 2	35.22	51
2 4 0	35.39	55
1 1 3	35.88	78
3 1 1	36.22	80
1 5 1	37.72	38
1 5 2	42.58	53
3 3 3	52.73	65

Crystal structure
```
data_PuCu4Sb4
_chemical_formula_sum 'Pu4 Cu16 Sb16'
_cell_length_a 7.978
_cell_length_b 13.142
_cell_length_c 8.072
_cell_angle_alpha 90.00
_cell_angle_beta 90.00
_cell_angle_gamma 90.00
_space_group_name_H-M_alt 'C c c e'
_space_group_IT_number 68
loop_
_space_group_symop_operation_xyz
'x,y,z'
'-x,-y,-z'
'-x+1/2,-y,z'
'x+1/2,y,-z'
'x+1/2,-y,-z+1/2'
'-x+1/2,y,z+1/2'
'-x,y,-z+1/2'
'x,-y,z+1/2'
'x+1/2,y+1/2,z'
'-x+1/2,-y+1/2,-z'
'-x,-y+1/2,z'
'x,y+1/2,-z'
'x,-y+1/2,-z+1/2'
'-x,y+1/2,z+1/2'
'-x+1/2,y+1/2,-z+1/2'
'x+1/2,-y+1/2,z+1/2'
loop_
_atom_site_label
_atom_site_type_symbol
_atom_site_fract_x
_atom_site_fract_y
_atom_site_fract_z
Pu1 Pu 0.000 0.250 0.250
Cu1 Cu 0.116 0.182 0.636
Sb1 Sb 0.184 0.110 0.929
```

Simulated powder diffractogram of PuCu3Se3 for Cu Kα, from a DFT-relaxed cell (GGA-PBE, Alexandria).
Neutral-atom scattering factors, no anomalous dispersion.

Most intense lines, 10° ≤ 2θ ≤ 90°, by angle:
(hkl)	2θ (°)	Rel. int.
1 0 1	15.23	30
0 1 2	17.05	21
2 -1 3	28.72	100
2 -1 6	37.11	81
3 0 0	44.73	67
1 1 9	48.32	33
2 2 3	54.04	19
2 2 6	59.48	21
3 0 9	61.84	16
5 -1 3	72.68	15
5 -1 6	77.39	18
4 1 9	85.08	13

Crystal structure
```
data_PuCu3Se3
_chemical_formula_sum 'Pu6 Cu18 Se18'
_cell_length_a 7.0180
_cell_length_b 7.0180
_cell_length_c 20.0903
_cell_angle_alpha 90.00
_cell_angle_beta 90.00
_cell_angle_gamma 120.00
_space_group_name_H-M_alt 'R -3'
_space_group_IT_number 148
_space_group_name_Hall '-R 3'
loop_
_atom_site_label
_atom_site_type_symbol
_atom_site_fract_x
_atom_site_fract_y
_atom_site_fract_z
Pu1 Pu 0.0000 0.0000 0.1665
Cu1 Cu 0.0006 0.6503 0.6258
Se1 Se 0.0010 0.6758 0.4167
```

Simulated powder diffractogram of SrPuCuSe3 for Cu Kα, from a DFT-relaxed cell (GGA-PBE, Alexandria).
Neutral-atom scattering factors, no anomalous dispersion.

Most intense lines, 10° ≤ 2θ ≤ 90°, by angle:
(hkl)	2θ (°)	Rel. int.
1 0 -1	12.75	47
1 1 0	24.02	9
1 0 2	24.87	10
0 0 3	30.37	100
1 1 -3	37.05	18
2 1 2	39.44	13
2 1 -3	39.65	9
4 0 -1	41.76	12
0 2 0	43.89	15
2 1 -4	47.33	12
3 1 2	47.66	9
0 2 3	54.33	10

Crystal structure
```
data_SrPuCuSe3
_chemical_formula_sum 'Sr2 Pu2 Cu2 Se6'
_cell_length_a 8.653
_cell_length_b 4.126
_cell_length_c 9.064
_cell_angle_alpha 90.00
_cell_angle_beta 103.39
_cell_angle_gamma 90.00
_space_group_name_H-M_alt 'P 1 21/m 1'
_space_group_IT_number 11
loop_
_space_group_symop_operation_xyz
'x,y,z'
'-x,-y,-z'
'-x,y+1/2,-z'
'x,-y+1/2,z'
loop_
_atom_site_label
_atom_site_type_symbol
_atom_site_fract_x
_atom_site_fract_y
_atom_site_fract_z
Sr1 Sr 0.185 0.250 0.237
Pu1 Pu 0.328 0.750 0.836
Cu1 Cu 0.079 0.250 0.583
Se1 Se 0.100 0.250 0.861
Se2 Se 0.218 0.750 0.511
Se3 Se 0.436 0.750 0.166
```

Simulated powder diffractogram of Pu2ThCuSe5 for Cu Kα, from a DFT-relaxed cell (GGA-PBE, Alexandria).
Neutral-atom scattering factors, no anomalous dispersion.

Most intense lines, 10° ≤ 2θ ≤ 90°, by angle:
(hkl)	2θ (°)	Rel. int.
0 4 0	20.19	12
1 1 0	22.50	13
0 2 3	23.77	29
1 3 1	27.69	12
1 1 3	31.31	100
1 5 0	33.76	17
1 3 3	34.54	17
1 5 2	36.79	45
0 0 6	43.74	16
2 0 0	44.68	19
1 1 6	49.75	13
1 5 8	70.24	12

Crystal structure
```
data_Pu2ThCuSe5
_chemical_formula_sum 'Pu8 Th4 Cu4 Se20'
_cell_length_a 4.056
_cell_length_b 17.589
_cell_length_c 12.410
_cell_angle_alpha 90.00
_cell_angle_beta 90.00
_cell_angle_gamma 90.00
_space_group_name_H-M_alt 'C m c 21'
_space_group_IT_number 36
loop_
_space_group_symop_operation_xyz
'x,y,z'
'-x,-y,z+1/2'
'-x,y,z'
'x,-y,z+1/2'
'x+1/2,y+1/2,z'
'-x+1/2,-y+1/2,z+1/2'
'-x+1/2,y+1/2,z'
'x+1/2,-y+1/2,z+1/2'
loop_
_atom_site_label
_atom_site_type_symbol
_atom_site_fract_x
_atom_site_fract_y
_atom_site_fract_z
Pu1 Pu 0.000 0.102 0.000
Pu2 Pu 0.000 0.113 0.342
Th1 Th 0.000 0.183 0.676
Cu1 Cu 0.000 0.444 0.075
Se1 Se 0.000 0.019 0.672
Se2 Se 0.000 0.304 0.345
Se3 Se 0.000 0.314 0.004
Se4 Se 0.000 0.349 0.668
Se5 Se 0.000 0.497 0.401
```